This entry pairs a crystal structure of BaCaCeNbO6 with its calculated PXRD pattern. Radiation: λ = 1.5418 Å (Cu Kα). Structure: the GGA-PBE geometry in the Materials Project.
Peak positions follow from Bragg's law for the DFT cell and can differ from measured ones.

Crystal structure
```
BaCaCeNbO6
1.0
0.000 4.295 4.295
4.295 0.000 4.295
4.295 4.295 0.000
Ba Ca Ce Nb O
1 1 1 1 6
Cartesian
0.000 0.000 0.000
4.295 4.295 4.295
6.442 6.442 6.442
2.147 2.147 2.147
2.147 2.147 0.115
2.147 0.115 2.147
4.180 2.147 2.147
0.115 2.147 2.147
2.147 4.180 2.147
2.147 2.147 4.180
```

Largest 10 diffraction maxima, most intense first, 2θ = 10–90°:
d (Å)	I_rel
3.037	100
1.753	40
2.147	33
1.148	21
1.518	20
1.358	18
4.959	14
2.590	9
4.295	8
1.240	7